For NaPrHfNbO6, a structure optimized by DFT (GGA-PBE) gives the calculated XRD peak list in this record (copper Kα).

Structure:
```
10
Lattice="0.000 4.080 4.080 4.080 0.000 4.080 4.080 4.080 0.000" Properties=species:S:1:pos:R:3 pbc="T T T"
Na 0.000 0.000 0.000
Pr 4.080 4.080 4.080
Hf 2.040 2.040 2.040
Nb 6.120 6.120 6.120
O 6.120 6.120 4.096
O 6.120 4.096 6.120
O 8.143 6.120 6.120
O 4.096 6.120 6.120
O 6.120 8.143 6.120
O 6.120 6.120 8.143
```

Principal peaks in the range 10 to 90 degrees two-theta, in order of falling intensity:
d 2.885, intensity 100; d 1.666, intensity 40; d 2.040, intensity 32; d 4.711, intensity 27; d 1.090, intensity 21; d 1.442, intensity 19; d 1.290, intensity 17; d 2.460, intensity 16; d 4.080, intensity 15; d 1.872, intensity 7; d 1.178, intensity 6; d 1.824, intensity 6